1.
RuC: simulated powder diffraction line list (Cu Kα X-rays), based on DFT lattice parameters and positions (GGA-PBE).
Intensities are scaled so that the largest is 100.

Principal peaks in the range 2θ = 10–80°, most intense first:
d = 2.636 Å, 34.0°, rel. 100, (1 1 1)
d = 2.283 Å, 39.5°, rel. 40, (2 0 0)
d = 1.614 Å, 57.0°, rel. 38, (2 2 0)
d = 1.377 Å, 68.1°, rel. 38, (3 1 1)
d = 1.318 Å, 71.6°, rel. 9, (2 2 2)

Crystal structure
```
data_RuC
_chemical_formula_sum 'Ru4 C4'
_cell_length_a 4.5661
_cell_length_b 4.5661
_cell_length_c 4.5661
_cell_angle_alpha 90.00
_cell_angle_beta 90.00
_cell_angle_gamma 90.00
_symmetry_space_group_name_H-M 'F -4 3 m'
_symmetry_Int_Tables_number 216
_symmetry_space_group_name_Hall 'F -4 2 3'
loop_
_atom_site_label
_atom_site_fract_x
_atom_site_fract_y
_atom_site_fract_z
_atom_site_occupancy
Ru1 0.0000 0.0000 0.0000 1
C1 0.2500 0.2500 0.7500 1
```

2.
LuZr3F15: simulated powder diffraction line list (Cu Kα X-rays), based on DFT lattice parameters and positions (GGA-PBE).
Intensities are scaled so that the largest is 100.

Principal peaks in the range 2θ = 10–80°, most intense first:
d = 3.922 Å, 22.7°, rel. 100, (0 0 2)
d = 3.853 Å, 23.1°, rel. 41, (1 3 0)
d = 2.906 Å, 30.8°, rel. 34, (1 3 -2)
d = 3.242 Å, 27.5°, rel. 27, (2 2 1)
d = 2.025 Å, 44.7°, rel. 23, (2 0 -4)
d = 2.006 Å, 45.2°, rel. 20, (4 4 -1)
d = 1.735 Å, 52.8°, rel. 19, (1 7 -1)
d = 1.813 Å, 50.3°, rel. 18, (4 4 1)

Crystal structure
```
data_LuZr3F15
_chemical_formula_sum 'Lu4 Zr12 F60'
_cell_length_a 10.4755
_cell_length_b 12.5025
_cell_length_c 8.1646
_cell_angle_alpha 90.00
_cell_angle_beta 105.99
_cell_angle_gamma 90.00
_symmetry_space_group_name_H-M 'C 1 2/c 1'
_symmetry_Int_Tables_number 15
loop_
_symmetry_equiv_pos_as_xyz
'x,y,z'
'-x,-y,-z'
'-x,y,-z+1/2'
'x,-y,z+1/2'
'x+1/2,y+1/2,z'
'-x+1/2,-y+1/2,-z'
'-x+1/2,y+1/2,-z+1/2'
'x+1/2,-y+1/2,z+1/2'
loop_
_atom_site_label
_atom_site_fract_x
_atom_site_fract_y
_atom_site_fract_z
_atom_site_occupancy
Lu1 0.0000 0.1777 0.2500 1
Zr1 0.0000 0.2498 0.7500 1
Zr2 0.2152 0.4632 0.3249 1
F1 0.0000 0.4658 0.2500 1
F2 0.0262 0.2533 0.0049 1
F3 0.1232 0.0638 0.1514 1
F4 0.1409 0.1326 0.7796 1
F5 0.1431 0.3655 0.7738 1
F6 0.1462 0.1055 0.4698 1
F7 0.1518 0.3048 0.3150 1
F8 0.1685 0.4829 0.0518 1
```

3.
Ca2UO5: simulated powder diffraction line list (Cu Kα X-rays), based on DFT lattice parameters and positions (GGA-PBE).
Intensities are scaled so that the largest is 100.

Principal peaks in the range 2θ = 10–80°, most intense first:
d = 4.916 Å, 18.0°, rel. 100, (0 1 1)
d = 3.229 Å, 27.6°, rel. 98, (2 1 -1)
d = 3.036 Å, 29.4°, rel. 79, (0 1 3)
d = 5.458 Å, 16.2°, rel. 74, (0 0 2)
d = 2.741 Å, 32.7°, rel. 45, (2 0 2)
d = 1.940 Å, 46.8°, rel. 40, (2 2 2)
d = 3.789 Å, 23.5°, rel. 36, (2 0 0)
d = 3.700 Å, 24.0°, rel. 24, (2 0 -2)

Crystal structure
```
data_Ca2UO5
_chemical_formula_sum 'Ca8 U4 O20'
_cell_length_a 7.9766
_cell_length_b 5.5059
_cell_length_c 11.4909
_cell_angle_alpha 90.00
_cell_angle_beta 108.19
_cell_angle_gamma 90.00
_symmetry_space_group_name_H-M 'P 1 21/c 1'
_symmetry_Int_Tables_number 14
loop_
_symmetry_equiv_pos_as_xyz
'x,y,z'
'-x,-y,-z'
'-x,y+1/2,-z+1/2'
'x,-y+1/2,z+1/2'
loop_
_atom_site_label
_atom_site_fract_x
_atom_site_fract_y
_atom_site_fract_z
_atom_site_occupancy
Ca1 0.1503 0.0064 0.3614 1
Ca2 0.3478 0.5554 0.1813 1
U1 0.0000 0.0000 0.0000 1
U2 0.5000 0.0000 0.0000 1
O1 0.0503 0.6683 0.6722 1
O2 0.1159 0.1922 0.5721 1
O3 0.2498 0.6816 0.5032 1
O4 0.3781 0.2221 0.8583 1
O5 0.4834 0.7493 0.8663 1
```

4.
Y3Si2Ni2: simulated powder diffraction line list (Cu Kα X-rays), based on DFT lattice parameters and positions (GGA-PBE).
Intensities are scaled so that the largest is 100.

Principal peaks in the range 2θ = 10–80°, most intense first:
d = 2.737 Å, 32.7°, rel. 100, (1 1 2)
d = 2.621 Å, 34.2°, rel. 56, (0 1 5)
d = 3.298 Å, 27.0°, rel. 31, (1 0 3)
d = 2.060 Å, 44.0°, rel. 25, (0 2 0)
d = 2.029 Å, 44.7°, rel. 24, (2 0 0)
d = 1.604 Å, 57.4°, rel. 24, (2 1 5)
d = 1.446 Å, 64.5°, rel. 23, (2 2 0)
d = 2.082 Å, 43.5°, rel. 21, (1 0 7)

Crystal structure
```
data_Y3Si2Ni2
_chemical_formula_sum 'Y6 Si4 Ni4'
_cell_length_a 4.0580
_cell_length_b 4.1193
_cell_length_c 16.9829
_cell_angle_alpha 90.00
_cell_angle_beta 90.00
_cell_angle_gamma 90.00
_symmetry_space_group_name_H-M 'I m m m'
_symmetry_Int_Tables_number 71
_symmetry_space_group_name_Hall '-I 2 2'
loop_
_atom_site_label
_atom_site_fract_x
_atom_site_fract_y
_atom_site_fract_z
_atom_site_occupancy
Y1 0.0000 0.0000 0.0000 1
Y2 0.0000 0.5000 0.3193 1
Si1 0.0000 0.5000 0.1377 1
Ni1 0.0000 0.0000 0.4304 1
```

5.
KCaNi2: simulated powder diffraction line list (Cu Kα X-rays), based on DFT lattice parameters and positions (GGA-PBE).
Intensities are scaled so that the largest is 100.

Principal peaks in the range 2θ = 10–80°, most intense first:
d = 2.490 Å, 36.1°, rel. 100, (2 2 0)
d = 1.438 Å, 64.8°, rel. 31, (4 2 2)
d = 1.761 Å, 51.9°, rel. 16, (4 0 0)
d = 1.245 Å, 76.5°, rel. 9, (4 4 0)
d = 3.522 Å, 25.3°, rel. 6, (2 0 0)
d = 1.575 Å, 58.6°, rel. 3, (4 2 0)
d = 2.033 Å, 44.6°, rel. 2, (2 2 2)

Crystal structure
```
data_KCaNi2
_chemical_formula_sum 'K4 Ca4 Ni8'
_cell_length_a 7.0439
_cell_length_b 7.0439
_cell_length_c 7.0439
_cell_angle_alpha 90.00
_cell_angle_beta 90.00
_cell_angle_gamma 90.00
_symmetry_space_group_name_H-M 'F m -3 m'
_symmetry_Int_Tables_number 225
_symmetry_space_group_name_Hall '-F 4 2 3'
loop_
_atom_site_label
_atom_site_fract_x
_atom_site_fract_y
_atom_site_fract_z
_atom_site_occupancy
K1 0.0000 0.0000 0.0000 1
Ca1 0.0000 0.0000 0.5000 1
Ni1 0.2500 0.2500 0.2500 1
```

6.
CeMg14Bi: simulated powder diffraction line list (Cu Kα X-rays), based on DFT lattice parameters and positions (GGA-PBE).
Intensities are scaled so that the largest is 100.

Principal peaks in the range 2θ = 10–80°, most intense first:
d = 2.457 Å, 36.6°, rel. 100, (2 2 2)
d = 4.991 Å, 17.8°, rel. 62, (1 0 2)
d = 2.495 Å, 36.0°, rel. 51, (2 0 4)
d = 5.690 Å, 15.6°, rel. 41, (0 0 2)
d = 2.597 Å, 34.5°, rel. 36, (4 0 0)
d = 3.836 Å, 23.2°, rel. 36, (2 0 2)
d = 5.193 Å, 17.1°, rel. 35, (2 0 0)
d = 2.789 Å, 32.1°, rel. 34, (0 2 2)

Crystal structure
```
data_CeMg14Bi
_chemical_formula_sum 'Ce2 Mg28 Bi2'
_cell_length_a 10.3863
_cell_length_b 6.3992
_cell_length_c 11.3810
_cell_angle_alpha 90.00
_cell_angle_beta 90.00
_cell_angle_gamma 90.00
_symmetry_space_group_name_H-M 'A m m 2'
_symmetry_Int_Tables_number 38
loop_
_symmetry_equiv_pos_as_xyz
'x,y,z'
'-x,-y,z'
'-x,y,z'
'x,-y,z'
'x,y+1/2,z+1/2'
'-x,-y+1/2,z+1/2'
'-x,y+1/2,z+1/2'
'x,-y+1/2,z+1/2'
loop_
_atom_site_label
_atom_site_fract_x
_atom_site_fract_y
_atom_site_fract_z
_atom_site_occupancy
Ce1 0.0000 0.0000 0.0000 1
Mg1 0.0000 0.2439 0.2517 1
Mg2 0.2494 0.0000 0.6715 1
Mg3 0.2562 0.0000 0.1691 1
Mg4 0.2615 0.2488 0.9153 1
Mg5 0.5000 0.0000 0.0025 1
Mg6 0.5000 0.0000 0.5031 1
Mg7 0.5000 0.2489 0.7508 1
Bi1 0.0000 0.0000 0.4990 1
```

7.
Sr2CaI6: simulated powder diffraction line list (Cu Kα X-rays), based on DFT lattice parameters and positions (GGA-PBE).
Intensities are scaled so that the largest is 100.

Principal peaks in the range 2θ = 10–80°, most intense first:
d = 3.655 Å, 24.4°, rel. 100, (2 0 -2)
d = 3.258 Å, 27.4°, rel. 54, (1 1 3)
d = 2.794 Å, 32.0°, rel. 30, (1 5 1)
d = 3.203 Å, 27.9°, rel. 29, (0 4 2)
d = 2.841 Å, 31.5°, rel. 28, (2 4 -1)
d = 3.394 Å, 26.3°, rel. 24, (1 3 2)
d = 3.608 Å, 24.7°, rel. 23, (1 3 -2)
d = 2.655 Å, 33.8°, rel. 22, (3 1 1)

Crystal structure
```
data_Sr2CaI6
_chemical_formula_sum 'Sr8 Ca4 I24'
_cell_length_a 8.6385
_cell_length_b 15.4732
_cell_length_c 11.5156
_cell_angle_alpha 90.00
_cell_angle_beta 97.05
_cell_angle_gamma 90.00
_symmetry_space_group_name_H-M 'C 1 2/c 1'
_symmetry_Int_Tables_number 15
loop_
_symmetry_equiv_pos_as_xyz
'x,y,z'
'-x,-y,-z'
'-x,y,-z+1/2'
'x,-y,z+1/2'
'x+1/2,y+1/2,z'
'-x+1/2,-y+1/2,-z'
'-x+1/2,y+1/2,-z+1/2'
'x+1/2,-y+1/2,z+1/2'
loop_
_atom_site_label
_atom_site_fract_x
_atom_site_fract_y
_atom_site_fract_z
_atom_site_occupancy
Sr1 0.0413 0.1596 0.0409 1
Ca1 0.0000 0.4538 0.7500 1
I1 0.1022 0.3727 0.0391 1
I2 0.1707 0.0348 0.6442 1
I3 0.2435 0.3038 0.6964 1
```